# Sm6AlAg
Computed powder diffraction line list, Cu Kα (weighted mean of Kα1 and Kα2). Input: a PBE-relaxed structure.
Kinematic intensities with the Lorentz-polarization factor, no thermal factor.

Principal peaks in the range 10° ≤ 2θ ≤ 90°, sorted by position:
d (Å), 2theta, Rel. int.
3.377, 26.39, 14.3
2.827, 31.65, 100.0
2.579, 34.79, 43.8
1.824, 50.02, 15.6
1.690, 54.29, 14.9
1.532, 60.41, 31.3

Structural model:
```
Sm6AlAg
1.0
0.0000 3.6498 8.9469
3.6444 0.0000 8.9469
3.6444 3.6498 0.0000
Sm Al Ag
6 1 1
Direct
0.1069 0.1069 0.3931
0.2476 0.2476 0.7524
0.3931 0.3931 0.1069
0.6069 0.6069 0.8931
0.7524 0.7524 0.2476
0.8931 0.8931 0.6069
0.0000 0.0000 0.0000
0.5000 0.5000 0.5000
```



# Al2AgSn
Computed powder diffraction line list, Cu Kα (weighted mean of Kα1 and Kα2). Input: a PBE-relaxed structure.
Kinematic intensities with the Lorentz-polarization factor, no thermal factor.

Principal peaks in the range 10° ≤ 2θ ≤ 90°, sorted by position:
d (Å), 2theta, Rel. int.
3.642, 24.44, 100.0
3.389, 26.30, 37.4
2.733, 32.77, 29.4
2.433, 36.95, 96.0
2.159, 41.83, 76.0
1.679, 54.67, 29.4

Structural model:
```
Al2AgSn
1.0
4.3189 0.0000 0.0000
-2.1594 3.7403 0.0000
0.0000 0.0000 16.0149
Al Ag Sn
6 3 3
Direct
0.0000 0.0000 0.0000
0.0000 0.0000 0.2044
0.3333 0.6667 0.6667
0.3333 0.6667 0.8710
0.6667 0.3333 0.3333
0.6667 0.3333 0.5377
0.0000 0.0000 0.6001
0.3333 0.6667 0.2668
0.6667 0.3333 0.9335
0.0000 0.0000 0.7790
0.3333 0.6667 0.4457
0.6667 0.3333 0.1124
```



# Al4Ag15Sn
Computed powder diffraction line list, Cu Kα (weighted mean of Kα1 and Kα2). Input: a PBE-relaxed structure.
Kinematic intensities with the Lorentz-polarization factor, no thermal factor.

Principal peaks in the range 10° ≤ 2θ ≤ 90°, sorted by position:
d (Å), 2theta, Rel. int.
2.388, 37.67, 100.0
2.075, 43.62, 33.6
2.054, 44.08, 14.4
1.467, 63.39, 10.5
1.460, 63.75, 18.3
1.250, 76.15, 23.7

Structural model:
```
Al4Ag15Sn
1.0
4.1500 0.0000 0.0000
0.0000 4.1500 0.0000
0.0000 0.0000 20.5441
Al Ag Sn
4 15 1
Direct
0.0000 0.0000 0.0978
0.0000 0.0000 0.2948
0.0000 0.0000 0.7052
0.0000 0.0000 0.9022
0.0000 0.5000 0.0000
0.0000 0.5000 0.1955
0.0000 0.5000 0.3911
0.0000 0.5000 0.6089
0.0000 0.5000 0.8045
0.5000 0.0000 0.0000
0.5000 0.0000 0.1955
0.5000 0.0000 0.3911
0.5000 0.0000 0.6089
0.5000 0.0000 0.8045
0.5000 0.5000 0.0979
0.5000 0.5000 0.2931
0.5000 0.5000 0.5000
0.5000 0.5000 0.7069
0.5000 0.5000 0.9021
0.0000 0.0000 0.5000
```



# Sr2Al5Ag5
Computed powder diffraction line list, Cu Kα (weighted mean of Kα1 and Kα2). Input: a PBE-relaxed structure.
Kinematic intensities with the Lorentz-polarization factor, no thermal factor.

Principal peaks in the range 10° ≤ 2θ ≤ 90°, sorted by position:
d (Å), 2theta, Rel. int.
4.473, 19.85, 30.3
2.861, 31.27, 36.3
2.805, 31.91, 29.0
2.410, 37.32, 100.0
2.376, 37.86, 29.6
2.236, 40.33, 26.6

Structural model:
```
Sr2Al5Ag5
1.0
4.4729 0.0000 0.0000
0.0000 5.6095 0.0000
0.0000 0.0000 9.9751
Sr Al Ag
2 5 5
Direct
0.0000 0.0000 0.0000
0.0000 0.5000 0.5000
0.5000 0.0000 0.5000
0.5000 0.2481 0.2495
0.5000 0.2481 0.7505
0.5000 0.7519 0.2495
0.5000 0.7519 0.7505
0.0000 0.0000 0.3321
0.0000 0.0000 0.6679
0.0000 0.5000 0.1808
0.0000 0.5000 0.8192
0.5000 0.5000 0.0000
```



# Sr12AlAg6
Computed powder diffraction line list, Cu Kα (weighted mean of Kα1 and Kα2). Input: a PBE-relaxed structure.
Kinematic intensities with the Lorentz-polarization factor, no thermal factor.

Principal peaks in the range 10° ≤ 2θ ≤ 90°, sorted by position:
d (Å), 2theta, Rel. int.
7.944, 11.14, 17.6
3.243, 27.50, 17.2
3.003, 29.75, 100.0
2.648, 33.85, 18.2
2.203, 40.96, 28.0
1.872, 48.62, 16.3

Structural model:
```
Sr12AlAg6
1.0
-5.6175 5.6175 5.6175
5.6175 -5.6175 5.6175
5.6175 5.6175 -5.6175
Sr Al Ag
12 1 6
Direct
0.1115 0.2925 0.8190
0.1810 0.4735 0.2925
0.1810 0.8885 0.7075
0.2925 0.1810 0.4735
0.2925 0.8190 0.1115
0.4735 0.2925 0.1810
0.5265 0.7075 0.8190
0.7075 0.1810 0.8885
0.7075 0.8190 0.5265
0.8190 0.1115 0.2925
0.8190 0.5265 0.7075
0.8885 0.7075 0.1810
0.0000 0.0000 0.0000
0.1253 0.5000 0.6253
0.3747 0.8747 0.5000
0.5000 0.3747 0.8747
0.5000 0.6253 0.1253
0.6253 0.1253 0.5000
0.8747 0.5000 0.3747
```



# Sr2Al5Ag4
Computed powder diffraction line list, Cu Kα (weighted mean of Kα1 and Kα2). Input: a PBE-relaxed structure.
Kinematic intensities with the Lorentz-polarization factor, no thermal factor.

Principal peaks in the range 10° ≤ 2θ ≤ 90°, sorted by position:
d (Å), 2theta, Rel. int.
6.473, 13.68, 27.7
5.188, 17.09, 30.7
3.556, 25.04, 23.5
2.788, 32.10, 30.9
2.456, 36.59, 29.6
2.378, 37.84, 100.0

Structural model:
```
Sr2Al5Ag4
1.0
6.5644 -2.7883 0.0000
6.5644 2.7883 0.0000
-5.3924 0.0000 6.9564
Sr Al Ag
2 5 4
Direct
0.2136 0.2136 0.2672
0.7864 0.7864 0.7328
0.2166 0.7089 0.2422
0.2911 0.7834 0.7578
0.5000 0.5000 0.0000
0.7089 0.2166 0.2422
0.7834 0.2911 0.7578
0.1260 0.1260 0.5516
0.2646 0.2646 0.9438
0.7354 0.7354 0.0562
0.8740 0.8740 0.4484
```



# SrAl9Ag4
Computed powder diffraction line list, Cu Kα (weighted mean of Kα1 and Kα2). Input: a PBE-relaxed structure.
Kinematic intensities with the Lorentz-polarization factor, no thermal factor.

Principal peaks in the range 10° ≤ 2θ ≤ 90°, sorted by position:
d (Å), 2theta, Rel. int.
3.822, 23.27, 100.0
2.977, 30.02, 66.5
2.819, 31.74, 65.2
2.681, 33.42, 94.9
2.227, 40.50, 79.9
2.135, 42.34, 83.1

Structural model:
```
SrAl9Ag4
1.0
-4.4577 4.4577 6.7126
4.4577 -4.4577 6.7126
4.4577 4.4577 -6.7126
Sr Al Ag
2 18 8
Direct
0.2500 0.2500 0.0000
0.7500 0.7500 0.0000
0.0000 0.5000 0.5000
0.0560 0.5560 0.2559
0.0677 0.7960 0.8636
0.1999 0.9440 0.5000
0.2040 0.0677 0.2717
0.2960 0.5677 0.8636
0.3001 0.8001 0.7441
0.4323 0.2960 0.7283
0.4440 0.6999 0.5000
0.5000 0.0000 0.5000
0.5560 0.3001 0.5000
0.5677 0.7040 0.2717
0.6999 0.1999 0.2559
0.7040 0.4323 0.1364
0.7960 0.9323 0.7283
0.8001 0.0560 0.5000
0.9323 0.2040 0.1364
0.9440 0.4440 0.7441
0.0484 0.1994 0.5000
0.1994 0.6994 0.1511
0.3006 0.4516 0.5000
0.4516 0.9516 0.1511
0.5484 0.0484 0.8489
0.6994 0.5484 0.5000
0.8006 0.3006 0.8489
0.9516 0.8006 0.5000
```



# Sr6AlAg2
Computed powder diffraction line list, Cu Kα (weighted mean of Kα1 and Kα2). Input: a PBE-relaxed structure.
Kinematic intensities with the Lorentz-polarization factor, no thermal factor.

Principal peaks in the range 10° ≤ 2θ ≤ 90°, sorted by position:
d (Å), 2theta, Rel. int.
3.067, 29.11, 100.0
2.831, 31.61, 26.6
2.818, 31.76, 26.5
2.332, 38.60, 27.6
1.997, 45.41, 19.0
1.515, 61.16, 20.7

Structural model:
```
Sr6AlAg2
1.0
0.0000 7.1833 8.4927
2.8178 0.0000 8.4927
2.8178 7.1833 0.0000
Sr Al Ag
6 1 2
Direct
0.0351 0.2992 0.7008
0.2992 0.0351 0.9649
0.3655 0.6345 0.3655
0.6345 0.3655 0.6345
0.7008 0.9649 0.0351
0.9649 0.7008 0.2992
0.0000 0.0000 0.0000
0.3384 0.3384 0.6616
0.6616 0.6616 0.3384
```



# Sr2Al3Ag
Computed powder diffraction line list, Cu Kα (weighted mean of Kα1 and Kα2). Input: a PBE-relaxed structure.
Kinematic intensities with the Lorentz-polarization factor, no thermal factor.

Principal peaks in the range 10° ≤ 2θ ≤ 90°, sorted by position:
d (Å), 2theta, Rel. int.
4.104, 21.66, 42.0
2.906, 30.77, 61.6
2.861, 31.26, 81.5
2.819, 31.74, 100.0
2.374, 37.91, 49.5
2.367, 38.02, 62.3

Structural model:
```
Sr2Al3Ag
1.0
11.1926 0.0000 0.0000
0.0000 4.7472 0.0000
-5.3576 0.0000 5.7531
Sr Al Ag
4 6 2
Direct
0.0000 0.0000 0.0000
0.1016 0.0000 0.6070
0.5000 0.5000 0.0000
0.6016 0.5000 0.6070
0.2136 0.5000 0.3974
0.2161 0.5000 0.0368
0.3898 0.0000 0.2028
0.7136 0.0000 0.3974
0.7161 0.0000 0.0368
0.8898 0.5000 0.2028
0.3863 0.0000 0.5811
0.8863 0.5000 0.5811
```



# SrAl2Ag
Computed powder diffraction line list, Cu Kα (weighted mean of Kα1 and Kα2). Input: a PBE-relaxed structure.
Kinematic intensities with the Lorentz-polarization factor, no thermal factor.

Principal peaks in the range 10° ≤ 2θ ≤ 90°, sorted by position:
d (Å), 2theta, Rel. int.
4.113, 21.60, 21.9
3.670, 24.25, 47.4
2.752, 32.54, 24.0
2.721, 32.92, 23.2
2.693, 33.27, 100.0
1.869, 48.73, 22.4

Structural model:
```
SrAl2Ag
1.0
16.6358 0.0000 0.0000
0.0000 7.3396 0.0000
0.0000 0.0000 6.1761
Sr Al Ag
8 16 8
Direct
0.1036 0.2500 0.2132
0.1359 0.7500 0.0065
0.3640 0.2500 0.5065
0.3964 0.7500 0.7132
0.6036 0.2500 0.2868
0.6360 0.7500 0.4935
0.8640 0.2500 0.9935
0.8964 0.7500 0.7868
0.0429 0.0641 0.7019
0.0429 0.4359 0.7019
0.2128 0.5620 0.5189
0.2128 0.9380 0.5189
0.2872 0.0620 0.0189
0.2872 0.4380 0.0189
0.4571 0.5641 0.2019
0.4571 0.9359 0.2019
0.5429 0.0641 0.7981
0.5429 0.4359 0.7981
0.7128 0.5620 0.9811
0.7128 0.9380 0.9811
0.7872 0.0620 0.4811
0.7872 0.4380 0.4811
0.9571 0.5641 0.2981
0.9571 0.9359 0.2981
0.0731 0.7500 0.5047
0.1852 0.2500 0.7366
0.3148 0.7500 0.2366
0.4269 0.2500 0.0047
0.5731 0.7500 0.9953
0.6852 0.2500 0.7634
0.8148 0.7500 0.2634
0.9269 0.2500 0.4953
```



# SrAl6Ag2
Computed powder diffraction line list, Cu Kα (weighted mean of Kα1 and Kα2). Input: a PBE-relaxed structure.
Kinematic intensities with the Lorentz-polarization factor, no thermal factor.

Principal peaks in the range 10° ≤ 2θ ≤ 90°, sorted by position:
d (Å), 2theta, Rel. int.
4.926, 18.01, 56.3
3.868, 22.99, 100.0
2.868, 31.18, 77.7
2.588, 34.66, 84.2
2.207, 40.88, 48.7
2.168, 41.66, 45.8

Structural model:
```
SrAl6Ag2
1.0
4.9207 -4.9259 0.0000
4.9207 4.9259 0.0000
-1.7076 0.0000 3.8449
Sr Al Ag
1 6 2
Direct
0.0000 0.0000 0.0000
0.1248 0.4474 0.7876
0.2661 0.7339 0.5000
0.4474 0.1248 0.7876
0.5526 0.8752 0.2124
0.7339 0.2661 0.5000
0.8752 0.5526 0.2124
0.3466 0.3466 0.3455
0.6534 0.6534 0.6545
```



# Tb2Al3Ag4
Computed powder diffraction line list, Cu Kα (weighted mean of Kα1 and Kα2). Input: a PBE-relaxed structure.
Kinematic intensities with the Lorentz-polarization factor, no thermal factor.

Principal peaks in the range 10° ≤ 2θ ≤ 90°, sorted by position:
d (Å), 2theta, Rel. int.
2.780, 32.20, 46.8
2.623, 34.19, 100.0
2.555, 35.13, 61.4
2.513, 35.73, 73.1
2.326, 38.72, 84.2
1.390, 67.38, 36.5

Structural model:
```
Tb2Al3Ag4
1.0
2.8686 -7.9383 0.0000
2.8686 7.9383 0.0000
0.0000 0.0000 7.9486
Tb Al Ag
4 6 8
Direct
0.1033 0.8967 0.8997
0.3967 0.6033 0.3997
0.6033 0.3967 0.6003
0.8967 0.1033 0.1003
0.0000 0.0000 0.5000
0.0139 0.4861 0.7500
0.4861 0.0139 0.2500
0.5000 0.5000 0.0000
0.5139 0.9861 0.7500
0.9861 0.5139 0.2500
0.1786 0.8214 0.5151
0.1842 0.3158 0.7500
0.3158 0.1842 0.2500
0.3214 0.6786 0.0151
0.6786 0.3214 0.9849
0.6842 0.8158 0.7500
0.8158 0.6842 0.2500
0.8214 0.1786 0.4849
```